# 1
For Ta4C3, a structure optimized by DFT (GGA-PBE) gives the computed powder diffraction line list in this record (a wavelength of 1.5418 Å).

Atomic structure:
```
Ta4C3
1.0
4.445 0.000 0.000
0.000 4.445 0.000
0.000 0.000 4.445
Ta C
4 3
Direct
0.000 0.000 0.000 Ta
0.000 0.500 0.500 Ta
0.500 0.000 0.500 Ta
0.500 0.500 0.000 Ta
0.000 0.000 0.500 C
0.000 0.500 0.000 C
0.500 0.000 0.000 C
```

Most intense lines, 2θ = 10–90°, sorted by position:
2θ 35.0, rel. 100
2θ 40.6, rel. 59
2θ 58.7, rel. 40
2θ 70.2, rel. 41
2θ 73.8, rel. 14
2θ 87.8, rel. 7

=====

# 2
For Ta4C3, a structure optimized by DFT (GGA-PBE) gives the computed powder diffraction line list in this record (a wavelength of 1.5418 Å).

Atomic structure:
```
Ta4C3
1.0
1.568 0.905 10.254
-1.568 0.905 10.254
0.000 -1.810 10.254
Ta C
4 3
Direct
0.000 0.000 0.000 Ta
0.164 0.164 0.164 Ta
0.579 0.579 0.579 Ta
0.749 0.749 0.749 Ta
0.289 0.289 0.289 C
0.377 0.377 0.377 C
0.871 0.871 0.871 C
```

Most intense lines, 2θ = 10–90°, sorted by position:
2θ 33.5, rel. 29
2θ 35.0, rel. 58
2θ 36.2, rel. 100
2θ 39.0, rel. 88
2θ 44.5, rel. 17
2θ 58.9, rel. 43
2θ 61.6, rel. 22
2θ 67.3, rel. 17
2θ 70.4, rel. 43
2θ 71.1, rel. 14

=====

# 3
For TaTiC2, a structure optimized by DFT (GGA-PBE) gives the computed powder diffraction line list in this record (a wavelength of 1.5418 Å).

Atomic structure:
```
TaTiC2
1.0
1.563 0.903 5.081
-1.563 0.903 5.081
0.000 -1.805 5.081
Ta Ti C
1 1 2
Direct
0.000 0.000 0.000 Ta
0.500 0.500 0.500 Ti
0.249 0.249 0.249 C
0.751 0.751 0.751 C
```

Most intense lines, 2θ = 10–90°, sorted by position:
2θ 17.5, rel. 72
2θ 33.6, rel. 46
2θ 35.2, rel. 100
2θ 35.3, rel. 33
2θ 40.9, rel. 95
2θ 44.8, rel. 22
2θ 59.1, rel. 31
2θ 59.3, rel. 30
2θ 62.1, rel. 17
2θ 70.7, rel. 40

=====

# 4
For TaTiWC3, a structure optimized by DFT (GGA-PBE) gives the computed powder diffraction line list in this record (a wavelength of 1.5418 Å).

Atomic structure:
```
TaTiWC3
1.0
3.112 0.000 0.000
-1.556 2.695 0.000
0.000 0.000 7.639
Ta Ti W C
1 1 1 3
Direct
0.000 0.000 0.000 Ta
0.667 0.333 0.332 Ti
0.333 0.667 0.659 W
0.000 0.000 0.497 C
0.333 0.667 0.167 C
0.667 0.333 0.826 C
```

Most intense lines, 2θ = 10–90°, sorted by position:
2θ 11.6, rel. 32
2θ 23.3, rel. 10
2θ 33.2, rel. 10
2θ 35.3, rel. 100
2θ 41.0, rel. 65
2θ 59.3, rel. 43
2θ 71.0, rel. 28
2θ 71.0, rel. 11
2θ 74.7, rel. 11
2θ 88.9, rel. 8

=====

# 5
For UTaC2, a structure optimized by DFT (GGA-PBE) gives the computed powder diffraction line list in this record (a wavelength of 1.5418 Å).

Atomic structure:
```
UTaC2
1.0
1.630 0.941 5.620
-1.630 0.941 5.620
0.000 -1.882 5.620
U Ta C
1 1 2
Direct
0.000 0.000 0.000 U
0.500 0.500 0.500 Ta
0.242 0.242 0.242 C
0.758 0.758 0.758 C
```

Most intense lines, 2θ = 10–90°, sorted by position:
2θ 31.8, rel. 38
2θ 33.5, rel. 100
2θ 38.4, rel. 85
2θ 54.3, rel. 31
2θ 56.4, rel. 28
2θ 64.4, rel. 16
2θ 66.3, rel. 30
2θ 67.2, rel. 14
2θ 70.3, rel. 15
2θ 82.2, rel. 10

=====

# 6
For TaWC2, a structure optimized by DFT (GGA-PBE) gives the computed powder diffraction line list in this record (a wavelength of 1.5418 Å).

Atomic structure:
```
TaWC2
1.0
1.572 0.908 5.102
-1.572 0.908 5.102
0.000 -1.815 5.102
Ta W C
1 1 2
Direct
0.000 0.000 0.000 Ta
0.500 0.500 0.500 W
0.249 0.249 0.249 C
0.751 0.751 0.751 C
```

Most intense lines, 2θ = 10–90°, sorted by position:
2θ 35.0, rel. 100
2θ 35.2, rel. 33
2θ 40.7, rel. 83
2θ 58.7, rel. 28
2θ 59.0, rel. 28
2θ 70.2, rel. 14
2θ 70.4, rel. 28
2θ 70.6, rel. 14
2θ 73.9, rel. 14
2θ 88.1, rel. 9

=====

# 7
For Ta4WC5, a structure optimized by DFT (GGA-PBE) gives the computed powder diffraction line list in this record (a wavelength of 1.5418 Å).

Atomic structure:
```
Ta4WC5
1.0
1.576 0.910 12.912
-1.576 0.910 12.912
0.000 -1.820 12.912
Ta W C
4 1 5
Direct
0.100 0.100 0.100 Ta
0.300 0.300 0.300 Ta
0.700 0.700 0.700 Ta
0.900 0.900 0.900 Ta
0.500 0.500 0.500 W
0.000 0.000 0.000 C
0.199 0.199 0.199 C
0.401 0.401 0.401 C
0.599 0.599 0.599 C
0.801 0.801 0.801 C
```

Most intense lines, 2θ = 10–90°, sorted by position:
2θ 34.7, rel. 34
2θ 34.8, rel. 100
2θ 40.4, rel. 84
2θ 58.4, rel. 28
2θ 58.6, rel. 28
2θ 69.8, rel. 14
2θ 69.9, rel. 42
2θ 73.3, rel. 5
2θ 73.6, rel. 14
2θ 87.4, rel. 9

=====

# 8
For ZrTaC2, a structure optimized by DFT (GGA-PBE) gives the computed powder diffraction line list in this record (a wavelength of 1.5418 Å).

Atomic structure:
```
ZrTaC2
1.0
1.621 0.936 5.325
-1.621 0.936 5.325
0.000 -1.872 5.325
Zr Ta C
1 1 2
Direct
0.000 0.000 0.000 Zr
0.500 0.500 0.500 Ta
0.245 0.245 0.245 C
0.755 0.755 0.755 C
```

Most intense lines, 2θ = 10–90°, sorted by position:
2θ 16.6, rel. 21
2θ 33.7, rel. 34
2θ 33.8, rel. 100
2θ 39.2, rel. 91
2θ 56.6, rel. 30
2θ 56.8, rel. 30
2θ 67.5, rel. 14
2θ 67.7, rel. 28
2θ 67.8, rel. 14
2θ 71.2, rel. 15

=====

# 9
For TbC2, a structure optimized by DFT (GGA-PBE) gives the computed powder diffraction line list in this record (a wavelength of 1.5418 Å).

Atomic structure:
```
TbC2
1.0
-1.846 1.846 3.124
1.846 -1.846 3.124
1.846 1.846 -3.124
Tb C
1 2
Direct
0.000 0.000 0.000 Tb
0.396 0.396 0.000 C
0.604 0.604 0.000 C
```

Most intense lines, 2θ = 10–90°, sorted by position:
2θ 28.1, rel. 100
2θ 28.6, rel. 33
2θ 34.4, rel. 49
2θ 45.3, rel. 37
2θ 49.4, rel. 17
2θ 50.3, rel. 28
2θ 57.8, rel. 29
2θ 58.0, rel. 18
2θ 73.1, rel. 18
2θ 89.6, rel. 11

=====

# 10
For TbC2, a structure optimized by DFT (GGA-PBE) gives the computed powder diffraction line list in this record (a wavelength of 1.5418 Å).

Atomic structure:
```
TbC2
1.0
-1.854 2.374 2.529
1.854 -2.374 2.529
1.854 2.374 -2.529
Tb C
1 2
Direct
0.000 0.000 0.000 Tb
0.361 0.498 0.863 C
0.635 0.498 0.137 C
```

Most intense lines, 2θ = 10–90°, sorted by position:
2θ 25.7, rel. 100
2θ 29.9, rel. 62
2θ 30.6, rel. 95
2θ 35.5, rel. 34
2θ 37.9, rel. 22
2θ 47.5, rel. 54
2θ 49.0, rel. 45
2θ 52.9, rel. 17
2θ 56.3, rel. 25
2θ 75.1, rel. 15

=====

# 11
For TbWC2, a structure optimized by DFT (GGA-PBE) gives the computed powder diffraction line list in this record (a wavelength of 1.5418 Å).

Atomic structure:
```
TbWC2
1.0
5.749 0.000 0.000
0.000 3.404 0.000
0.000 0.000 10.841
Tb W C
4 4 8
Direct
0.085 0.250 0.137 Tb
0.415 0.750 0.637 Tb
0.585 0.250 0.363 Tb
0.915 0.750 0.863 Tb
0.096 0.750 0.390 W
0.404 0.250 0.890 W
0.596 0.750 0.110 W
0.904 0.250 0.610 W
0.161 0.250 0.753 C
0.220 0.250 0.484 C
0.280 0.750 0.984 C
0.339 0.750 0.253 C
0.661 0.250 0.747 C
0.720 0.250 0.016 C
0.780 0.750 0.516 C
0.839 0.750 0.247 C
```

Most intense lines, 2θ = 10–90°, sorted by position:
2θ 31.6, rel. 24
2θ 32.2, rel. 32
2θ 33.1, rel. 33
2θ 34.8, rel. 100
2θ 39.6, rel. 15
2θ 40.1, rel. 23
2θ 53.9, rel. 12
2θ 55.7, rel. 20
2θ 60.2, rel. 17
2θ 61.1, rel. 11

=====

# 12
For Tc3C, a structure optimized by DFT (GGA-PBE) gives the computed powder diffraction line list in this record (a wavelength of 1.5418 Å).

Atomic structure:
```
Tc3C
1.0
5.337 0.000 0.000
-2.669 4.622 0.000
0.000 0.000 4.097
Tc C
6 2
Direct
0.174 0.349 0.250 Tc
0.174 0.826 0.250 Tc
0.349 0.174 0.750 Tc
0.651 0.826 0.250 Tc
0.826 0.174 0.750 Tc
0.826 0.651 0.750 Tc
0.333 0.667 0.750 C
0.667 0.333 0.250 C
```

Most intense lines, 2θ = 10–90°, sorted by position:
2θ 29.1, rel. 36
2θ 33.6, rel. 12
2θ 39.0, rel. 26
2θ 44.2, rel. 24
2θ 45.0, rel. 100
2θ 60.4, rel. 14
2θ 70.6, rel. 16
2θ 81.9, rel. 17
2θ 87.2, rel. 18
2θ 87.8, rel. 13